Record 1
# Er5B2O6F9
Calculated PXRD pattern, Cu Kα. Input: a crystal structure in OQMD, relaxed with PBE.
Neutral-atom scattering factors, no anomalous dispersion.

Principal peaks in the range 2θ from 10° to 90°, in order of falling intensity:
(5 1 0), 2θ = 27.08°, d = 3.293 Å, intensity 100; (0 2 1), 2θ = 31.89°, d = 2.806 Å, intensity 79; (5 1 -1), 2θ = 27.74°, d = 3.216 Å, intensity 67; (4 2 3), 2θ = 51.67°, d = 1.769 Å, intensity 61; (2 0 -2), 2θ = 22.41°, d = 3.967 Å, intensity 43; (2 0 2), 2θ = 25.42°, d = 3.504 Å, intensity 39; (3 1 -2), 2θ = 28.19°, d = 3.165 Å, intensity 37; (1 1 -4), 2θ = 47.26°, d = 1.923 Å, intensity 32; (5 1 1), 2θ = 30.84°, d = 2.899 Å, intensity 32; (7 1 2), 2θ = 45.08°, d = 2.011 Å, intensity 31

Cell lengths 20.0295, 5.9892, 8.1474 Å; angles 90.00, 100.20, 90.00 degrees
Space group C2/c (No. 15)
Asymmetric unit:
1 Er 0.0000 0.1108 0.2500 x4
2 Er 0.1098 0.3881 0.9052 x8
3 Er 0.1938 0.1219 0.3196 x8
4 B 0.1112 0.0951 0.5627 x8
5 O 0.0911 0.2409 0.4341 x8
6 O 0.0922 0.1026 0.7174 x8
7 O 0.1597 0.0620 0.0394 x8
8 F 0.0000 0.4899 0.2500 x4
9 F 0.0307 0.1831 0.9868 x8
10 F 0.1316 0.4277 0.1841 x8
11 F 0.2113 0.4280 0.4813 x8
12 F 0.2240 0.2240 0.7869 x8

Record 2
# Pr2Sc2O5
Calculated PXRD pattern, Cu Kα. Input: a crystal structure in OQMD, relaxed with PBE.
Neutral-atom scattering factors, no anomalous dispersion.

Principal peaks in the range 2θ from 10° to 90°, in order of falling intensity:
(1 0 2), 2θ = 32.36°, d = 2.766 Å, intensity 100; (1 1 0), 2θ = 31.06°, d = 2.880 Å, intensity 46; (2 1 2), 2θ = 56.09°, d = 1.640 Å, intensity 41; (1 1 2), 2θ = 39.38°, d = 2.288 Å, intensity 36; (2 0 0), 2θ = 44.50°, d = 2.036 Å, intensity 33; (1 0 0), 2θ = 21.82°, d = 4.072 Å, intensity 32; (2 0 4), 2θ = 67.75°, d = 1.383 Å, intensity 16; (1 1 4), 2θ = 58.53°, d = 1.577 Å, intensity 15; (0 0 4), 2θ = 48.29°, d = 1.885 Å, intensity 12; (2 2 0), 2θ = 64.75°, d = 1.440 Å, intensity 10

Cell lengths 4.0723, 4.0723, 7.5385 Å; angles 90.00, 90.00, 90.00 degrees
Space group P4/mmm (No. 123)
Asymmetric unit:
1 Pr 0.0000 0.0000 0.0000 x1
2 Pr 0.0000 0.0000 0.5000 x1
3 Sc 0.5000 0.5000 0.2339 x2
4 O 0.0000 0.5000 0.2407 x4
5 O 0.5000 0.5000 0.5000 x1

Record 3
# Nd5Co2B6
Calculated PXRD pattern, Cu Kα. Input: a crystal structure in OQMD, relaxed with PBE.
Neutral-atom scattering factors, no anomalous dispersion.

Principal peaks in the range 2θ from 10° to 90°, in order of falling intensity:
(1 1 0), 2θ = 32.71°, d = 2.738 Å, intensity 100; (1 0 7), 2θ = 31.66°, d = 2.826 Å, intensity 38; (1 1 6), 2θ = 39.56°, d = 2.278 Å, intensity 37; (0 1 5), 2θ = 26.08°, d = 3.417 Å, intensity 22; (1 1 12), 2θ = 55.98°, d = 1.643 Å, intensity 22; (3 0 0), 2θ = 58.38°, d = 1.581 Å, intensity 21; (0 1 8), 2θ = 34.73°, d = 2.583 Å, intensity 21; (0 0 6), 2θ = 21.64°, d = 4.106 Å, intensity 20; (2 1 7), 2θ = 57.72°, d = 1.597 Å, intensity 13; (2 2 0), 2θ = 68.55°, d = 1.369 Å, intensity 13

Cell lengths 5.4760, 5.4760, 24.6375 Å; angles 90.00, 90.00, 120.00 degrees
Space group R-3m (No. 166, hexagonal axes)
Asymmetric unit:
1 Nd 0.0000 0.0000 0.0000 x3
2 Nd 0.0000 0.0000 0.2509 x6
3 Nd 0.0000 0.0000 0.4167 x6
4 Co 0.0000 0.0000 0.1232 x6
5 B 0.0000 0.3324 0.5000 x18

Record 4
# Gd2B5
Calculated PXRD pattern, Cu Kα. Input: a crystal structure in OQMD, relaxed with PBE.
Neutral-atom scattering factors, no anomalous dispersion.

Principal peaks in the range 2θ from 10° to 90°, in order of falling intensity:
(2 0 0), 2θ = 25.59°, d = 3.481 Å, intensity 100; (0 2 1), 2θ = 28.05°, d = 3.181 Å, intensity 69; (2 2 0), 2θ = 36.01°, d = 2.494 Å, intensity 66; (2 2 -1), 2θ = 36.30°, d = 2.475 Å, intensity 55; (0 2 0), 2θ = 24.93°, d = 3.571 Å, intensity 52; (0 1 2), 2θ = 28.41°, d = 3.141 Å, intensity 44; (2 0 -2), 2θ = 32.06°, d = 2.791 Å, intensity 38; (2 2 1), 2θ = 40.25°, d = 2.241 Å, intensity 37; (1 1 2), 2θ = 33.53°, d = 2.673 Å, intensity 35; (2 1 -2), 2θ = 34.49°, d = 2.600 Å, intensity 35

Cell lengths 7.1361, 7.1421, 7.1695 Å; angles 90.00, 102.65, 90.00 degrees
Space group P2_1/c (No. 14)
Asymmetric unit:
1 Gd 0.2331 0.1912 0.1279 x4
2 Gd 0.2414 0.6843 0.2556 x4
3 B 0.0762 0.5086 0.9279 x4
4 B 0.3151 0.5016 0.9607 x4
5 B 0.4969 0.1733 0.4600 x4
6 B 0.4970 0.5387 0.8262 x4
7 B 0.4992 0.5899 0.5899 x4

Record 5
# Hf3N4
Calculated PXRD pattern, Cu Kα. Input: a crystal structure in OQMD, relaxed with PBE.
Neutral-atom scattering factors, no anomalous dispersion.

Principal peaks in the range 2θ from 10° to 90°, in order of falling intensity:
(3 0 2), 2θ = 32.27°, d = 2.774 Å, intensity 100; (1 1 2), 2θ = 33.68°, d = 2.661 Å, intensity 59; (2 1 0), 2θ = 33.26°, d = 2.694 Å, intensity 47; (0 0 4), 2θ = 33.56°, d = 2.670 Å, intensity 35; (2 1 4), 2θ = 47.97°, d = 1.897 Å, intensity 31; (5 1 2), 2θ = 57.90°, d = 1.593 Å, intensity 26; (3 2 2), 2θ = 66.98°, d = 1.397 Å, intensity 25; (1 1 3), 2θ = 38.73°, d = 2.325 Å, intensity 25; (2 1 1), 2θ = 34.33°, d = 2.612 Å, intensity 22; (2 1 5), 2θ = 54.86°, d = 1.674 Å, intensity 19

Cell lengths 9.7402, 3.2340, 10.6812 Å; angles 90.00, 90.00, 90.00 degrees
Space group Pnma (No. 62)
Asymmetric unit:
1 Hf 0.0695 0.2500 0.1243 x4
2 Hf 0.1072 0.2500 0.5929 x4
3 Hf 0.2280 0.2500 0.8529 x4
4 N 0.0075 0.2500 0.7747 x4
5 N 0.1030 0.7500 0.4699 x4
6 N 0.1424 0.7500 0.9825 x4
7 N 0.2374 0.7500 0.7143 x4

Record 6
# Na3TaSeS3
Calculated PXRD pattern, Cu Kα. Input: a crystal structure in OQMD, relaxed with PBE.
Neutral-atom scattering factors, no anomalous dispersion.

Principal peaks in the range 2θ from 10° to 90°, in order of falling intensity:
(1 0 1), 2θ = 12.82°, d = 6.907 Å, intensity 100; (1 1 0), 2θ = 18.04°, d = 4.917 Å, intensity 30; (0 2 1), 2θ = 22.19°, d = 4.006 Å, intensity 16; (2 2 0), 2θ = 36.55°, d = 2.458 Å, intensity 15; (2 1 1), 2θ = 28.75°, d = 3.105 Å, intensity 14; (0 2 4), 2θ = 37.06°, d = 2.426 Å, intensity 14; (1 3 1), 2θ = 38.88°, d = 2.316 Å, intensity 12; (1 2 5), 2θ = 47.77°, d = 1.904 Å, intensity 12; (0 1 2), 2θ = 18.28°, d = 4.852 Å, intensity 10; (3 2 1), 2θ = 47.15°, d = 1.928 Å, intensity 10

Cell lengths 9.8335, 9.8335, 11.8081 Å; angles 90.00, 90.00, 120.00 degrees
Space group R3m (No. 160, hexagonal axes)
Asymmetric unit:
1 Na 0.1700 0.3400 0.0000 x9
2 Ta 0.0000 0.0000 0.1637 x3
3 Se 0.0000 0.0000 0.9578 x3
4 S 0.0803 0.5402 0.8960 x9

Record 7
# Gd3Ga5Fe
Calculated PXRD pattern, Cu Kα. Input: a crystal structure in OQMD, relaxed with PBE.
Neutral-atom scattering factors, no anomalous dispersion.

Principal peaks in the range 2θ from 10° to 90°, in order of falling intensity:
(1 1 1), 2θ = 33.26°, d = 2.693 Å, intensity 100; (2 0 1), 2θ = 36.54°, d = 2.459 Å, intensity 67; (3 1 1), 2θ = 59.43°, d = 1.555 Å, intensity 45; (2 1 0), 2θ = 39.56°, d = 2.278 Å, intensity 37; (3 0 0), 2θ = 45.14°, d = 2.009 Å, intensity 30; (3 2 1), 2θ = 71.80°, d = 1.315 Å, intensity 29; (0 0 2), 2θ = 42.50°, d = 2.127 Å, intensity 26; (1 1 0), 2θ = 25.60°, d = 3.479 Å, intensity 17; (3 0 2), 2θ = 63.72°, d = 1.461 Å, intensity 12; (3 1 0), 2θ = 54.93°, d = 1.672 Å, intensity 12

Cell lengths 6.9595, 6.9595, 4.2541 Å; angles 90.00, 90.00, 120.00 degrees
Space group P-62m (No. 189)
Asymmetric unit:
1 Gd 0.0000 0.4043 0.0000 x3
2 Ga 0.0000 0.7663 0.5000 x3
3 Ga 0.3333 0.6667 0.5000 x2
4 Fe 0.0000 0.0000 0.0000 x1

Record 8
# Sm4BrNCl4
Calculated PXRD pattern, Cu Kα. Input: a crystal structure in OQMD, relaxed with PBE.
Neutral-atom scattering factors, no anomalous dispersion.

Principal peaks in the range 2θ from 10° to 90°, in order of falling intensity:
(1 1 -2), 2θ = 32.25°, d = 2.776 Å, intensity 100; (0 0 1), 2θ = 11.15°, d = 7.934 Å, intensity 55; (2 0 0), 2θ = 10.62°, d = 8.333 Å, intensity 45; (3 1 1), 2θ = 32.34°, d = 2.768 Å, intensity 23; (5 1 2), 2θ = 46.58°, d = 1.950 Å, intensity 19; (7 1 -2), 2θ = 45.90°, d = 1.977 Å, intensity 18; (3 1 0), 2θ = 28.64°, d = 3.117 Å, intensity 16; (3 1 -1), 2θ = 29.23°, d = 3.056 Å, intensity 16; (4 0 -1), 2θ = 21.38°, d = 4.157 Å, intensity 13; (0 2 0), 2θ = 48.34°, d = 1.883 Å, intensity 12

Cell lengths 17.2495, 3.7657, 8.2115 Å; angles 90.00, 104.94, 90.00 degrees
Space group C2/m (No. 12)
Asymmetric unit:
1 Sm 0.0008 0.0000 0.2980 x4
2 Sm 0.1442 0.5000 0.5815 x4
3 Br 0.0000 0.5000 0.0000 x2
4 N 0.0000 0.5000 0.5000 x2
5 Cl 0.1652 0.0000 0.8379 x4
6 Cl 0.1711 0.0000 0.3439 x4